(1)
# Mg3Fe4Mo6O24
Computed PXRD pattern, Cu Kα (weighted mean of Kα1 and Kα2). Input: the GGA+U geometry in the Materials Project.
Intensities are scaled so that the largest is 100.

Atomic structure:
```
data_Mg3Fe4Mo6O24
_symmetry_space_group_name_H-M 'P -1'
_symmetry_Int_Tables_number 2
_symmetry_space_group_name_Hall '-P 1'
_cell_length_a 7.0310
_cell_length_b 8.4674
_cell_length_c 10.3457
_cell_angle_alpha 104.39
_cell_angle_beta 104.88
_cell_angle_gamma 101.52
loop_
_atom_site_label
_atom_site_type_symbol
_atom_site_fract_x
_atom_site_fract_y
_atom_site_fract_z
Mg1 Mg 0.0000 0.0000 0.0000
Mg2 Mg 0.2716 0.7729 0.2869
Fe1 Fe 0.0456 0.6981 0.5103
Fe2 Fe 0.3793 0.4567 0.1053
Mo1 Mo 0.1031 0.5999 0.8345
Mo2 Mo 0.2198 0.1534 0.7681
Mo3 Mo 0.4052 0.2214 0.3772
O1 O 0.0124 0.2244 0.6747
O2 O 0.0712 0.5470 0.6423
O3 O 0.1104 0.8115 0.9322
O4 O 0.1439 0.5350 0.1580
O5 O 0.1717 0.9373 0.6753
O6 O 0.2050 0.1734 0.9438
O7 O 0.2367 0.2836 0.4662
O8 O 0.2845 0.0035 0.2631
O9 O 0.3344 0.5317 0.9183
O10 O 0.3542 0.7594 0.4876
O11 O 0.4404 0.3494 0.2684
O12 O 0.4704 0.2590 0.7667
```

Peak list (10 most intense, 2θ from 5° to 70°, in order of rising 2θ)
d (Å)  two_theta  Rel. int.  hkl
7.870  11.24  32  0 1 0
4.179  21.26  31  1 1 -2
3.888  22.87  35  1 -2 0
3.649  24.40  24  0 2 -2
3.444  25.87  72  2 0 -1
3.364  26.50  61  2 -1 0
3.320  26.86  88  0 1 -3
3.285  27.14  100  0 2 1
3.201  27.87  46  1 -2 2
1.750  52.26  29  -4 1 1

(2)
# PrNi2O6
Computed PXRD pattern, Cu Kα (weighted mean of Kα1 and Kα2). Input: the GGA+U geometry in the Materials Project.
Intensities are scaled so that the largest is 100.

Atomic structure:
```
data_PrNi2O6
_symmetry_space_group_name_H-M 'P 1'
_symmetry_Int_Tables_number 1
_symmetry_space_group_name_Hall 'P 1'
_cell_length_a 5.2985
_cell_length_b 5.4790
_cell_length_c 7.5994
_cell_angle_alpha 90.03
_cell_angle_beta 90.61
_cell_angle_gamma 90.04
loop_
_atom_site_label
_atom_site_type_symbol
_atom_site_fract_x
_atom_site_fract_y
_atom_site_fract_z
Pr1 Pr 0.0000 0.0000 0.0000
Pr2 Pr 0.4514 0.5060 0.5035
Ni1 Ni 0.4816 0.9999 0.2553
Ni2 Ni 0.4816 0.0031 0.7469
Ni3 Ni 0.9642 0.4994 0.2450
Ni4 Ni 0.9728 0.5004 0.7546
O1 O 0.2042 0.7513 0.7223
O2 O 0.2227 0.7699 0.2750
O3 O 0.2280 0.2695 0.7817
O4 O 0.2494 0.2505 0.2259
O5 O 0.4755 0.0686 0.4924
O6 O 0.4870 0.9510 0.0126
O7 O 0.6894 0.7334 0.2857
O8 O 0.7136 0.7217 0.7229
O9 O 0.7461 0.2097 0.2201
O10 O 0.7571 0.2400 0.7838
O11 O 0.9656 0.4605 0.5106
O12 O 0.9766 0.5617 0.9919
```

Peak list (10 most intense, 2θ from 5° to 70°, in order of rising 2θ)
d (Å)  two_theta  Rel. int.  hkl
4.444  19.98  100  0 1 1
4.368  20.33  50  1 0 -1
4.324  20.54  52  1 0 1
2.739  32.69  41  0 2 0
2.700  33.18  81  1 1 -2
2.680  33.44  80  1 1 2
2.649  33.84  37  2 0 0
2.298  39.20  30  0 1 -3
1.904  47.76  60  2 2 0
1.900  47.88  30  0 0 4

(3)
# TlCoC4O4
Computed PXRD pattern, Cu Kα (weighted mean of Kα1 and Kα2). Input: the GGA+U geometry in the Materials Project.
Intensities are scaled so that the largest is 100.

Atomic structure:
```
data_TlCoC4O4
_symmetry_space_group_name_H-M 'P 21 3'
_symmetry_Int_Tables_number 198
_symmetry_space_group_name_Hall 'P 2ac 2ab 3'
_cell_length_a 9.1192
_cell_length_b 9.1192
_cell_length_c 9.1192
_cell_angle_alpha 90.00
_cell_angle_beta 90.00
_cell_angle_gamma 90.00
loop_
_atom_site_label
_atom_site_type_symbol
_atom_site_fract_x
_atom_site_fract_y
_atom_site_fract_z
Tl1 Tl 0.1901 0.3099 0.6901
Co1 Co 0.1979 0.6979 0.8021
C1 C 0.0869 0.5869 0.9131
C2 C 0.1152 0.3458 0.3128
O1 O 0.0110 0.8685 0.1821
O2 O 0.0125 0.5125 0.9875
```

Peak list (10 most intense, 2θ from 5° to 70°, in order of rising 2θ)
d (Å)  two_theta  Rel. int.  hkl
6.448  13.73  73  1 1 0
5.265  16.84  33  1 1 1
4.560  19.47  78  2 0 0
3.723  23.90  29  2 1 1
3.224  27.67  50  2 2 0
3.040  29.38  41  2 2 1
2.884  31.01  100  3 0 1
2.437  36.88  94  3 2 1
1.788  51.07  65  5 0 1
1.665  55.17  32  5 2 1